1.
The following is a theoretical powder diffractogram of Tl2CrPbBr6. It was derived from DFT lattice parameters and positions (GGA-PBE), using CuKα.
Peak positions follow from Bragg's law for the DFT cell and can differ from measured ones.

Atomic structure:
a = 7.752 Å, b = 7.754 Å, c = 7.763 Å
α = 61.50°, β = 61.55°, γ = 61.53°
Space group P-1 (No. 2)
Symmetry-distinct sites (fractional):
Tl: 0.223 0.224 0.223 [2 per cell]
Cr: 0.000 0.000 0.000 [1 per cell]
Pb: 0.500 0.500 0.500 [1 per cell]
Br: 0.152 0.778 0.312 [2 per cell]
Br: 0.222 0.689 0.847 [2 per cell]
Br: 0.311 0.153 0.780 [2 per cell]

Most intense lines, 2θ = 10–90°, most intense first:
- hkl 0 2 2, 2θ = 32.3°, d 2.773, I 100
- hkl 2 0 1, 2θ = 26.6°, d 3.351, I 84
- hkl 0 1 -1, 2θ = 22.4°, d 3.967, I 67
- hkl 2 1 1, 2θ = 22.9°, d 3.876, I 58
- hkl 1 -2 1, 2θ = 39.3°, d 2.291, I 43
- hkl 1 0 3, 2θ = 39.7°, d 2.273, I 39
- hkl 0 2 0, 2θ = 27.6°, d 3.226, I 37
- hkl 1 1 1, 2θ = 14.2°, d 6.259, I 29
- hkl 2 0 -2, 2θ = 45.7°, d 1.984, I 26
- hkl 2 2 3, 2θ = 35.9°, d 2.500, I 25
- hkl 2 4 2, 2θ = 46.9°, d 1.938, I 20
- hkl 1 4 -1, 2θ = 62.1°, d 1.495, I 18

***

2.
The following is a theoretical powder diffractogram of Pr2CrSe2Br4. It was derived from DFT lattice parameters and positions (GGA-PBE), using CuKα.
Peak positions follow from Bragg's law for the DFT cell and can differ from measured ones.

Atomic structure:
a = 3.9651 Å, b = 3.9651 Å, c = 21.9350 Å
α = 90.00°, β = 90.00°, γ = 120.00°
Space group P3m1 (No. 156)
Symmetry-distinct sites (fractional):
Pr: 0.0000 0.0000 0.0000 [1 per cell]
Pr: 0.3333 0.6667 0.3570 [1 per cell]
Cr: 0.3333 0.6667 0.6852 [1 per cell]
Se: 0.0000 0.0000 0.6266 [1 per cell]
Se: 0.0000 0.0000 0.7438 [1 per cell]
Br: 0.0000 0.0000 0.2677 [1 per cell]
Br: 0.0000 0.0000 0.4461 [1 per cell]
Br: 0.3333 0.6667 0.0893 [1 per cell]
Br: 0.3333 0.6667 0.9109 [1 per cell]

Most intense lines, 2θ = 10–90°, most intense first:
- hkl 0 0 3, 2θ = 12.1°, d 7.312, I 100
- hkl 1 0 4, 2θ = 30.7°, d 2.910, I 82
- hkl 1 0 0, 2θ = 25.9°, d 3.434, I 68
- hkl 1 1 0, 2θ = 45.8°, d 1.983, I 55
- hkl 0 1 5, 2θ = 33.1°, d 2.704, I 49
- hkl 0 1 7, 2θ = 38.9°, d 2.315, I 48
- hkl 1 0 6, 2θ = 35.9°, d 2.503, I 27
- hkl 0 1 3, 2θ = 28.7°, d 3.108, I 22
- hkl 1 1 11, 2θ = 66.5°, d 1.406, I 21
- hkl 1 1 3, 2θ = 47.5°, d 1.913, I 19
- hkl 1 0 8, 2θ = 42.2°, d 2.143, I 18
- hkl 0 2 4, 2θ = 56.1°, d 1.639, I 15

***

3.
The following is a theoretical powder diffractogram of Rb3Cr2Br9. It was derived from DFT lattice parameters and positions (GGA-PBE), using CuKα.
Peak positions follow from Bragg's law for the DFT cell and can differ from measured ones.

Atomic structure:
a = 7.4692 Å, b = 7.4692 Å, c = 9.3066 Å
α = 90.00°, β = 90.00°, γ = 120.00°
Space group P-3m1 (No. 164)
Symmetry-distinct sites (fractional):
Rb: 0.0000 0.0000 0.0000 [1 per cell]
Rb: 0.3333 0.6667 0.3416 [2 per cell]
Cr: 0.3333 0.6667 0.8272 [2 per cell]
Br: 0.0000 0.5000 0.0000 [3 per cell]
Br: 0.1756 0.3513 0.6830 [6 per cell]

Most intense lines, 2θ = 10–90°, most intense first:
- hkl 0 2 2, 2θ = 33.7°, d 2.656, I 100
- hkl 2 0 1, 2θ = 29.2°, d 3.055, I 96
- hkl 2 0 4, 2θ = 48.2°, d 1.889, I 34
- hkl 2 2 0, 2θ = 48.8°, d 1.867, I 34
- hkl 0 0 3, 2θ = 28.8°, d 3.102, I 32
- hkl 2 2 3, 2θ = 57.6°, d 1.600, I 25
- hkl 4 0 2, 2θ = 60.6°, d 1.528, I 17
- hkl 2 4 2, 2θ = 81.4°, d 1.182, I 14
- hkl 2 2 6, 2θ = 80.5°, d 1.193, I 13
- hkl 0 2 5, 2θ = 57.1°, d 1.613, I 13
- hkl 0 4 1, 2θ = 57.9°, d 1.593, I 13
- hkl 1 0 1, 2θ = 16.7°, d 5.312, I 11

***

4.
The following is a theoretical powder diffractogram of Rb3CrBr8. It was derived from DFT lattice parameters and positions (GGA-PBE), using CuKα.
Peak positions follow from Bragg's law for the DFT cell and can differ from measured ones.

Atomic structure:
a = 7.799 Å, b = 7.799 Å, c = 14.859 Å
α = 90.00°, β = 90.00°, γ = 90.00°
Space group I4/mmm (No. 139)
Symmetry-distinct sites (fractional):
Rb: 0.000 0.000 0.000 [2 per cell]
Rb: 0.000 0.500 0.250 [4 per cell]
Cr: 0.000 0.000 0.500 [2 per cell]
Br: 0.208 0.208 0.392 [16 per cell]

Most intense lines, 2θ = 10–90°, most intense first:
- hkl 2 0 4, 2θ = 33.3°, d 2.690, I 100
- hkl 1 1 2, 2θ = 20.1°, d 4.428, I 56
- hkl 2 2 0, 2θ = 32.5°, d 2.757, I 50
- hkl 3 2 5, 2θ = 52.3°, d 1.748, I 26
- hkl 3 0 1, 2θ = 35.0°, d 2.561, I 20
- hkl 4 2 4, 2θ = 58.5°, d 1.579, I 17
- hkl 1 0 1, 2θ = 12.8°, d 6.906, I 16
- hkl 3 1 2, 2θ = 38.5°, d 2.341, I 16
- hkl 2 0 0, 2θ = 22.8°, d 3.899, I 12
- hkl 2 1 1, 2θ = 26.2°, d 3.396, I 12
- hkl 3 2 1, 2θ = 42.2°, d 2.140, I 12
- hkl 4 0 0, 2θ = 46.6°, d 1.950, I 11